(1)
Na5B6C4: computed powder XRD pattern (λ = 1.5418 Å (Cu Kα)), based on a GGA-PBE-relaxed structure.

The 11 most intense peaks (10° ≤ 2θ ≤ 90°), in order of rising 2θ:
2θ = 20.95°, rel. 1
2θ = 36.35°, rel. 18
2θ = 42.32°, rel. 100
2θ = 42.64°, rel. 25
2θ = 57.24°, rel. 10
2θ = 65.39°, rel. 17
2θ = 69.49°, rel. 1
2θ = 77.18°, rel. 2
2θ = 77.84°, rel. 12
2θ = 81.04°, rel. 11
2θ = 81.26°, rel. 17

Structural model:
```
Na5B6C4
1.0
2.8543 0.0000 0.0000
-1.4271 2.4719 0.0000
0.0000 0.0000 42.4062
Na B C
10 12 8
direct
0.0000 0.0000 0.0000 Na
0.0000 0.0000 0.0991 Na
0.0000 0.0000 0.1983 Na
0.0000 0.0000 0.2980 Na
0.0000 0.0000 0.4002 Na
0.0000 0.0000 0.5000 Na
0.0000 0.0000 0.5998 Na
0.0000 0.0000 0.7020 Na
0.0000 0.0000 0.8017 Na
0.0000 0.0000 0.9009 Na
0.3333 0.6667 0.0495 B
0.3333 0.6667 0.2478 B
0.3333 0.6667 0.3491 B
0.3333 0.6667 0.4504 B
0.3333 0.6667 0.6509 B
0.3333 0.6667 0.8514 B
0.6667 0.3333 0.1486 B
0.6667 0.3333 0.3491 B
0.6667 0.3333 0.5496 B
0.6667 0.3333 0.6509 B
0.6667 0.3333 0.7522 B
0.6667 0.3333 0.9505 B
0.3333 0.6667 0.1486 C
0.3333 0.6667 0.5495 C
0.3333 0.6667 0.7523 C
0.3333 0.6667 0.9505 C
0.6667 0.3333 0.0495 C
0.6667 0.3333 0.2477 C
0.6667 0.3333 0.4505 C
0.6667 0.3333 0.8514 C
```


(2)
Pm5Ho2Sc2: computed powder XRD pattern (λ = 1.5418 Å (Cu Kα)), based on a GGA-PBE-relaxed structure.

The 12 most intense peaks (10° ≤ 2θ ≤ 90°), in order of rising 2θ:
2θ = 25.06°, rel. 16
2θ = 29.83°, rel. 36
2θ = 31.62°, rel. 48
2θ = 31.80°, rel. 100
2θ = 32.91°, rel. 39
2θ = 33.06°, rel. 66
2θ = 48.82°, rel. 25
2θ = 51.76°, rel. 14
2θ = 59.22°, rel. 12
2θ = 59.45°, rel. 13
2θ = 61.93°, rel. 14
2θ = 62.70°, rel. 13

Structural model:
```
Pm5Ho2Sc2
1.0
9.5757 -3.5325 0.0000
9.5757 3.5325 0.0000
-1.9778 0.0000 8.4386
Pm Ho Sc
10 4 4
direct
0.0000 0.0000 0.0000 Pm
0.1224 0.6245 0.6733 Pm
0.1762 0.6722 0.2810 Pm
0.3611 0.8627 0.3420 Pm
0.4170 0.9151 0.9566 Pm
0.5378 0.5378 0.6255 Pm
0.6245 0.1224 0.6733 Pm
0.6722 0.1762 0.2810 Pm
0.8627 0.3611 0.3420 Pm
0.9151 0.4170 0.9566 Pm
0.0357 0.0357 0.6242 Ho
0.2158 0.2158 0.6465 Ho
0.4995 0.4995 0.0016 Ho
0.7686 0.7686 0.3139 Ho
0.2689 0.2689 0.3075 Sc
0.3232 0.3232 0.9808 Sc
0.7150 0.7150 0.6509 Sc
0.8225 0.8225 0.9750 Sc
```


(3)
Pm3Pr2Sm7: computed powder XRD pattern (λ = 1.5418 Å (Cu Kα)), based on a GGA-PBE-relaxed structure.

The 12 most intense peaks (10° ≤ 2θ ≤ 90°), in order of rising 2θ:
2θ = 27.87°, rel. 28
2θ = 30.01°, rel. 51
2θ = 30.14°, rel. 39
2θ = 30.52°, rel. 100
2θ = 30.83°, rel. 30
2θ = 30.98°, rel. 45
2θ = 31.66°, rel. 24
2θ = 32.47°, rel. 44
2θ = 33.93°, rel. 36
2θ = 50.12°, rel. 20
2θ = 52.98°, rel. 18
2θ = 60.07°, rel. 23

Structural model:
```
Pm3Pr2Sm7
1.0
5.9585 0.0000 0.0000
0.0000 3.6398 0.0000
-1.0703 0.0000 19.2070
Pm Pr Sm
3 2 7
direct
0.0000 0.0000 0.0000 Pm
0.2797 0.5000 0.6316 Pm
0.7203 0.5000 0.3684 Pm
0.2088 0.0000 0.2944 Pr
0.7912 0.0000 0.7056 Pr
0.1836 0.5000 0.1427 Sm
0.2426 0.0000 0.4632 Sm
0.3144 0.0000 0.8252 Sm
0.5000 0.5000 0.0000 Sm
0.6856 0.0000 0.1748 Sm
0.7574 0.0000 0.5368 Sm
0.8164 0.5000 0.8573 Sm
```


(4)
Lu3Al2: computed powder XRD pattern (λ = 1.5418 Å (Cu Kα)), based on a GGA-PBE-relaxed structure.

The 12 most intense peaks (10° ≤ 2θ ≤ 90°), in order of rising 2θ:
2θ = 24.73°, rel. 52
2θ = 28.65°, rel. 51
2θ = 31.43°, rel. 38
2θ = 32.76°, rel. 100
2θ = 34.66°, rel. 80
2θ = 35.25°, rel. 66
2θ = 37.33°, rel. 24
2θ = 46.51°, rel. 16
2θ = 48.93°, rel. 17
2θ = 52.95°, rel. 20
2θ = 54.26°, rel. 31
2θ = 61.73°, rel. 23

Structural model:
```
Lu3Al2
1.0
8.0507 0.0000 0.0000
0.0000 8.0507 0.0000
0.0000 0.0000 7.4465
Lu Al
12 8
direct
0.0000 0.5000 0.2500 Lu
0.0000 0.5000 0.7500 Lu
0.1504 0.1504 0.0000 Lu
0.2027 0.2027 0.5000 Lu
0.2973 0.7027 0.0000 Lu
0.3496 0.6504 0.5000 Lu
0.5000 0.0000 0.2500 Lu
0.5000 0.0000 0.7500 Lu
0.6504 0.3496 0.5000 Lu
0.7027 0.2973 0.0000 Lu
0.7973 0.7973 0.5000 Lu
0.8496 0.8496 0.0000 Lu
0.1197 0.8803 0.3027 Al
0.1197 0.8803 0.6973 Al
0.3803 0.3803 0.1973 Al
0.3803 0.3803 0.8027 Al
0.6197 0.6197 0.1973 Al
0.6197 0.6197 0.8027 Al
0.8803 0.1197 0.3027 Al
0.8803 0.1197 0.6973 Al
```


(5)
BaMnPbBr6: computed powder XRD pattern (λ = 1.5418 Å (Cu Kα)), based on a GGA-PBE-relaxed structure.

The 12 most intense peaks (10° ≤ 2θ ≤ 90°), in order of rising 2θ:
2θ = 19.27°, rel. 100
2θ = 27.26°, rel. 76
2θ = 30.53°, rel. 33
2θ = 36.53°, rel. 86
2θ = 36.86°, rel. 14
2θ = 38.85°, rel. 35
2θ = 41.22°, rel. 47
2θ = 48.61°, rel. 15
2θ = 52.15°, rel. 15
2θ = 56.24°, rel. 21
2θ = 72.07°, rel. 15
2θ = 72.74°, rel. 17

Structural model:
```
BaMnPbBr6
1.0
7.5862 0.0000 0.0000
-3.7931 6.5698 0.0000
0.0000 0.0000 12.9235
Ba Mn Pb Br
2 2 2 12
direct
0.3333 0.6667 0.2500 Ba
0.6667 0.3333 0.7500 Ba
0.3333 0.6667 0.7500 Mn
0.6667 0.3333 0.2500 Mn
0.0000 0.0000 0.0000 Pb
0.0000 0.0000 0.5000 Pb
0.0541 0.3691 0.6263 Br
0.0541 0.6851 0.8737 Br
0.3149 0.3691 0.8737 Br
0.3149 0.9459 0.6263 Br
0.3691 0.0541 0.1263 Br
0.3691 0.3149 0.3737 Br
0.6309 0.6851 0.6263 Br
0.6309 0.9459 0.8737 Br
0.6851 0.0541 0.3737 Br
0.6851 0.6309 0.1263 Br
0.9459 0.3149 0.1263 Br
0.9459 0.6309 0.3737 Br
```


(6)
Li3Ti6Zn3O16: computed powder XRD pattern (λ = 1.5418 Å (Cu Kα)), based on a GGA-PBE-relaxed structure.

The 12 most intense peaks (10° ≤ 2θ ≤ 90°), in order of rising 2θ:
2θ = 14.79°, rel. 17
2θ = 23.48°, rel. 20
2θ = 25.74°, rel. 13
2θ = 29.82°, rel. 44
2θ = 35.12°, rel. 100
2θ = 42.65°, rel. 10
2θ = 52.93°, rel. 16
2θ = 56.39°, rel. 27
2θ = 56.49°, rel. 11
2θ = 61.94°, rel. 48
2θ = 73.23°, rel. 8
2θ = 88.66°, rel. 9

Structural model:
```
Li3Ti6Zn3O16
1.0
8.4636 0.0000 0.0000
0.0000 8.4738 0.0000
-0.0024 0.0000 8.4873
Li Ti Zn O
6 12 6 32
direct
0.1252 0.0000 0.3744 Li
0.2490 0.8767 0.9997 Li
0.3732 0.2536 0.8720 Li
0.6268 0.7536 0.1280 Li
0.7510 0.3767 0.0003 Li
0.8748 0.5000 0.6256 Li
0.1174 0.5022 0.8724 Ti
0.1188 0.7444 0.6279 Ti
0.1281 0.2469 0.1172 Ti
0.3665 0.0069 0.6269 Ti
0.3701 0.7563 0.3640 Ti
0.3861 0.5033 0.1168 Ti
0.6139 0.0033 0.8832 Ti
0.6299 0.2563 0.6360 Ti
0.6335 0.5069 0.3731 Ti
0.8719 0.7469 0.8828 Ti
0.8812 0.2444 0.3721 Ti
0.8826 0.0022 0.1276 Ti
0.0016 0.6257 0.2509 Zn
0.2510 0.3754 0.4968 Zn
0.5002 0.1290 0.2509 Zn
0.4998 0.6290 0.7491 Zn
0.7490 0.8754 0.5032 Zn
0.9984 0.1257 0.7491 Zn
0.1057 0.2523 0.3609 O
0.1082 0.0216 0.1245 O
0.1100 0.7429 0.8626 O
0.1240 0.2672 0.8878 O
0.1287 0.5125 0.6406 O
0.1384 0.4904 0.1146 O
0.1417 0.7492 0.3927 O
0.1442 0.9892 0.6254 O
0.3570 0.2681 0.1273 O
0.3613 0.5059 0.8944 O
0.3626 0.7641 0.6140 O
0.3744 0.7347 0.1457 O
0.3801 0.9821 0.3893 O
0.3864 0.5135 0.3634 O
0.3904 0.2318 0.6196 O
0.3945 0.9999 0.8563 O
0.6055 0.4999 0.1437 O
0.6096 0.7318 0.3804 O
0.6136 0.0135 0.6366 O
0.6199 0.4821 0.6107 O
0.6256 0.2347 0.8543 O
0.6374 0.2641 0.3860 O
0.6387 0.0059 0.1056 O
0.6430 0.7681 0.8727 O
0.8558 0.4892 0.3746 O
0.8583 0.2492 0.6073 O
0.8616 0.9904 0.8854 O
0.8713 0.0125 0.3594 O
0.8760 0.7672 0.1122 O
0.8900 0.2429 0.1374 O
0.8918 0.5216 0.8755 O
0.8943 0.7523 0.6391 O
```


(7)
FeCo2Pd6: computed powder XRD pattern (λ = 1.5418 Å (Cu Kα)), based on a GGA-PBE-relaxed structure.

The 12 most intense peaks (10° ≤ 2θ ≤ 90°), in order of rising 2θ:
2θ = 32.05°, rel. 5
2θ = 37.55°, rel. 5
2θ = 40.69°, rel. 100
2θ = 46.76°, rel. 18
2θ = 46.87°, rel. 17
2θ = 48.38°, rel. 13
2θ = 68.36°, rel. 11
2θ = 69.57°, rel. 13
2θ = 82.62°, rel. 12
2θ = 82.78°, rel. 12
2θ = 85.04°, rel. 7
2θ = 88.11°, rel. 9

Structural model:
```
FeCo2Pd6
1.0
4.3073 -1.9429 0.0000
4.3073 1.9429 0.0000
-2.7735 0.0000 7.6201
Fe Co Pd
1 2 6
direct
0.0000 0.0000 0.0000 Fe
0.3120 0.3120 0.1001 Co
0.6880 0.6880 0.8999 Co
0.0127 0.0127 0.6828 Pd
0.3299 0.3299 0.4388 Pd
0.3503 0.3503 0.7997 Pd
0.6497 0.6497 0.2003 Pd
0.6701 0.6701 0.5612 Pd
0.9873 0.9873 0.3172 Pd
```


(8)
RbNaHgBi2: computed powder XRD pattern (λ = 1.5418 Å (Cu Kα)), based on a GGA-PBE-relaxed structure.

The 12 most intense peaks (10° ≤ 2θ ≤ 90°), in order of rising 2θ:
2θ = 17.53°, rel. 77
2θ = 19.76°, rel. 63
2θ = 24.70°, rel. 42
2θ = 26.36°, rel. 50
2θ = 27.95°, rel. 100
2θ = 33.21°, rel. 55
2θ = 35.07°, rel. 54
2θ = 35.33°, rel. 96
2θ = 36.29°, rel. 36
2θ = 38.10°, rel. 38
2θ = 51.42°, rel. 32
2θ = 52.75°, rel. 34

Structural model:
```
RbNaHgBi2
1.0
4.7235 0.0000 0.0000
0.0000 5.3956 0.0000
0.0000 0.0000 14.5308
Rb Na Hg Bi
2 2 2 4
direct
0.0000 0.0000 0.0000 Rb
0.5000 0.5000 0.5000 Rb
0.0000 0.5000 0.7358 Na
0.5000 0.0000 0.2358 Na
0.0000 0.0000 0.3907 Hg
0.5000 0.5000 0.8907 Hg
0.0000 0.0000 0.6111 Bi
0.0000 0.5000 0.2561 Bi
0.5000 0.0000 0.7561 Bi
0.5000 0.5000 0.1111 Bi
```


(9)
MgAlIr: computed powder XRD pattern (λ = 1.5418 Å (Cu Kα)), based on a GGA-PBE-relaxed structure.

The 12 most intense peaks (10° ≤ 2θ ≤ 90°), in order of rising 2θ:
2θ = 23.33°, rel. 28
2θ = 28.29°, rel. 100
2θ = 31.84°, rel. 23
2θ = 39.85°, rel. 37
2θ = 41.00°, rel. 56
2θ = 50.56°, rel. 21
2θ = 52.83°, rel. 34
2θ = 54.58°, rel. 17
2θ = 58.51°, rel. 12
2θ = 67.05°, rel. 18
2θ = 73.91°, rel. 12
2θ = 81.22°, rel. 15

Structural model:
```
MgAlIr
1.0
4.4051 0.0000 0.0000
0.0000 7.6200 0.0000
0.0000 0.0000 5.6203
Mg Al Ir
4 4 4
direct
0.0000 0.0000 0.0000 Mg
0.0000 0.0000 0.5000 Mg
0.5000 0.5000 0.0000 Mg
0.5000 0.5000 0.5000 Mg
0.0000 0.3308 0.2500 Al
0.0000 0.6692 0.7500 Al
0.5000 0.1692 0.7500 Al
0.5000 0.8308 0.2500 Al
0.0000 0.3365 0.7500 Ir
0.0000 0.6635 0.2500 Ir
0.5000 0.1635 0.2500 Ir
0.5000 0.8365 0.7500 Ir
```


(10)
Tb2Rh2O7: computed powder XRD pattern (λ = 1.5418 Å (Cu Kα)), based on a GGA-PBE-relaxed structure.

The 12 most intense peaks (10° ≤ 2θ ≤ 90°), in order of rising 2θ:
2θ = 14.97°, rel. 4
2θ = 28.90°, rel. 1
2θ = 30.21°, rel. 100
2θ = 35.02°, rel. 33
2θ = 38.28°, rel. 4
2θ = 46.02°, rel. 2
2θ = 50.37°, rel. 47
2θ = 59.87°, rel. 43
2θ = 62.82°, rel. 10
2θ = 74.00°, rel. 7
2θ = 81.96°, rel. 17
2θ = 84.57°, rel. 14

Structural model:
```
Tb2Rh2O7
1.0
0.0000 5.1240 5.1240
5.1240 0.0000 5.1240
5.1240 5.1240 0.0000
Tb Rh O
4 4 14
direct
0.0000 0.0000 0.0000 Tb
0.0000 0.0000 0.5000 Tb
0.0000 0.5000 0.0000 Tb
0.5000 0.0000 0.0000 Tb
0.0000 0.5000 0.5000 Rh
0.5000 0.0000 0.5000 Rh
0.5000 0.5000 0.0000 Rh
0.5000 0.5000 0.5000 Rh
0.1250 0.1250 0.1250 O
0.1637 0.1637 0.5863 O
0.1637 0.5863 0.1637 O
0.1637 0.5863 0.5863 O
0.4137 0.4137 0.8363 O
0.4137 0.8363 0.4137 O
0.4137 0.8363 0.8363 O
0.5863 0.1637 0.1637 O
0.5863 0.1637 0.5863 O
0.5863 0.5863 0.1637 O
0.8363 0.4137 0.4137 O
0.8363 0.4137 0.8363 O
0.8363 0.8363 0.4137 O
0.8750 0.8750 0.8750 O
```


(11)
AgPd4Pt2: computed powder XRD pattern (λ = 1.5418 Å (Cu Kα)), based on a GGA-PBE-relaxed structure.

The 12 most intense peaks (10° ≤ 2θ ≤ 90°), in order of rising 2θ:
2θ = 10.89°, rel. 16
2θ = 16.36°, rel. 4
2θ = 38.78°, rel. 34
2θ = 39.40°, rel. 100
2θ = 45.64°, rel. 65
2θ = 66.09°, rel. 21
2θ = 66.94°, rel. 21
2θ = 79.35°, rel. 12
2θ = 80.14°, rel. 25
2θ = 80.54°, rel. 12
2θ = 83.21°, rel. 4
2θ = 84.79°, rel. 11

Structural model:
```
AgPd4Pt2
1.0
1.3978 0.8070 16.2540
-1.3978 0.8070 16.2540
0.0000 -1.6140 16.2540
Ag Pd Pt
1 4 2
direct
0.0000 0.0000 0.0000 Ag
0.1434 0.1434 0.1434 Pd
0.2846 0.2846 0.2846 Pd
0.7154 0.7154 0.7154 Pd
0.8566 0.8566 0.8566 Pd
0.4295 0.4295 0.4295 Pt
0.5705 0.5705 0.5705 Pt
```